Entry 1:
The following is a computed X-ray diffraction stick pattern of RhO2F6. It was derived from a PBE-relaxed structure, using Cu Kα X-rays.

Most intense lines, 15° ≤ 2θ ≤ 90°, by angle:
5.158 Å, 17.2°, rel. 1000; 5.005 Å, 17.7°, rel. 474; 4.074 Å, 21.8°, rel. 432; 4.010 Å, 22.2°, rel. 430; 3.767 Å, 23.6°, rel. 343; 3.537 Å, 25.2°, rel. 296

Crystal structure
Unit cell a=5.2280 b=5.2682 c=5.2857 alpha=91.13 beta=102.48 gamma=100.83
Fractional coordinates of all 9 atoms:
Rh  0.0000  0.0000  0.0000
O  0.4102  0.5404  0.5292
O  0.5898  0.4596  0.4708
F  0.0583  0.8182  0.7146
F  0.2135  0.3059  0.9220
F  0.3061  0.9147  0.2141
F  0.6939  0.0853  0.7859
F  0.7865  0.6941  0.0780
F  0.9417  0.1818  0.2854

***

Entry 2:
The following is a computed X-ray diffraction stick pattern of Bi4O5F2. It was derived from a PBE-relaxed structure, using Cu Kα X-rays.

Most intense lines, 15° ≤ 2θ ≤ 90°, by angle:
3.630 Å, 24.5°, rel. 587; 3.607 Å, 24.7°, rel. 579; 2.987 Å, 29.9°, rel. 1000; 2.962 Å, 30.2°, rel. 879; 2.773 Å, 32.3°, rel. 456; 2.055 Å, 44.1°, rel. 546

Crystal structure
Unit cell a=10.6679 b=5.6213 c=14.2294 alpha=90.00 beta=97.45 gamma=90.00
Fractional coordinates of all 44 atoms:
Bi  0.0659  0.0000  0.2263
Bi  0.1110  0.9968  0.9644
Bi  0.1697  0.1016  0.6859
Bi  0.2209  0.5312  0.3842
Bi  0.2417  0.5139  0.1167
Bi  0.3097  0.5996  0.8326
Bi  0.4135  0.0509  0.2924
Bi  0.4170  0.0644  0.5514
Bi  0.5830  0.5644  0.4486
Bi  0.5865  0.5509  0.7076
Bi  0.6903  0.0996  0.1674
Bi  0.7583  0.0139  0.8833
Bi  0.7791  0.0312  0.6158
Bi  0.8303  0.6016  0.3141
Bi  0.8890  0.4968  0.0356
Bi  0.9341  0.5000  0.7737
O  0.0288  0.6600  0.3171
O  0.0691  0.2924  0.0860
O  0.0774  0.7895  0.0961
O  0.1536  0.8143  0.7796
O  0.1815  0.3125  0.8104
O  0.2374  0.6575  0.9652
O  0.2387  0.2931  0.2650
O  0.2513  0.7992  0.2620
O  0.4230  0.8177  0.4203
O  0.4241  0.3076  0.4167
O  0.5759  0.8076  0.5833
O  0.5770  0.3177  0.5797
O  0.7487  0.2992  0.7380
O  0.7613  0.7931  0.7350
O  0.7626  0.1575  0.0348
O  0.8185  0.8125  0.1896
O  0.8464  0.3143  0.2204
O  0.9226  0.2895  0.9039
O  0.9309  0.7924  0.9140
O  0.9712  0.1600  0.6829
F  0.1658  0.1639  0.4439
F  0.3222  0.1397  0.0800
F  0.3370  0.5575  0.6529
F  0.4225  0.0746  0.7257
F  0.5775  0.5746  0.2743
F  0.6630  0.0575  0.3471
F  0.6778  0.6397  0.9200
F  0.8342  0.6639  0.5561

***

Entry 3:
The following is a computed X-ray diffraction stick pattern of LiBeH3. It was derived from a PBE-relaxed structure, using Cu Kα X-rays.

Most intense lines, 15° ≤ 2θ ≤ 90°, by angle:
2.259 Å, 39.9°, rel. 243; 2.223 Å, 40.6°, rel. 1000; 2.197 Å, 41.1°, rel. 247; 1.575 Å, 58.6°, rel. 251; 1.569 Å, 58.9°, rel. 148; 1.274 Å, 74.5°, rel. 212

Crystal structure
Unit cell a=4.5174 b=6.2766 c=4.3949 alpha=90.00 beta=90.00 gamma=90.00
Fractional coordinates of all 20 atoms:
Li  0.0495  0.2500  0.0100
Li  0.4505  0.7500  0.5100
Li  0.5495  0.2500  0.4900
Li  0.9505  0.7500  0.9900
Be  0.0000  0.0000  0.5000
Be  0.0000  0.5000  0.5000
Be  0.5000  0.0000  0.0000
Be  0.5000  0.5000  0.0000
H  0.0166  0.7500  0.4277
H  0.2072  0.5369  0.7921
H  0.2072  0.9631  0.7921
H  0.2928  0.0369  0.2921
H  0.2928  0.4631  0.2921
H  0.4834  0.2500  0.9277
H  0.5166  0.7500  0.0723
H  0.7072  0.5369  0.7079
H  0.7072  0.9631  0.7079
H  0.7928  0.0369  0.2079
H  0.7928  0.4631  0.2079
H  0.9834  0.2500  0.5723

***

Entry 4:
The following is a computed X-ray diffraction stick pattern of SmY4Se5. It was derived from a PBE-relaxed structure, using Cu Kα X-rays.

Most intense lines, 15° ≤ 2θ ≤ 90°, by angle:
2.906 Å, 30.8°, rel. 1000; 2.063 Å, 43.9°, rel. 370; 2.047 Å, 44.2°, rel. 362; 1.682 Å, 54.6°, rel. 192; 1.304 Å, 72.5°, rel. 162; 1.296 Å, 73.0°, rel. 158

Crystal structure
Unit cell a=16.8200 b=16.8200 c=16.8200 alpha=14.09 beta=14.09 gamma=14.09
Fractional coordinates of all 10 atoms:
Sm  0.0000  0.0000  0.0000
Y  0.2000  0.2000  0.2000
Y  0.4002  0.4002  0.4002
Y  0.5998  0.5998  0.5998
Y  0.8000  0.8000  0.8000
Se  0.1001  0.1001  0.1001
Se  0.2987  0.2987  0.2987
Se  0.5000  0.5000  0.5000
Se  0.7013  0.7013  0.7013
Se  0.8999  0.8999  0.8999

***

Entry 5:
The following is a computed X-ray diffraction stick pattern of Ga3Au. It was derived from a PBE-relaxed structure, using Cu Kα X-rays.

Most intense lines, 15° ≤ 2θ ≤ 90°, by angle:
3.765 Å, 23.6°, rel. 272; 2.420 Å, 37.1°, rel. 1000; 2.118 Å, 42.7°, rel. 339; 2.053 Å, 44.1°, rel. 154; 1.474 Å, 63.1°, rel. 210; 1.274 Å, 74.5°, rel. 257

Crystal structure
Unit cell a=5.0827 b=5.0827 c=5.0827 alpha=130.73 beta=130.73 gamma=72.24
Fractional coordinates of all 4 atoms:
Ga  0.0000  0.0000  0.0000
Ga  0.2500  0.7500  0.5000
Ga  0.7500  0.2500  0.5000
Au  0.5000  0.5000  0.0000

***

Entry 6:
The following is a computed X-ray diffraction stick pattern of NbSe2. It was derived from a PBE-relaxed structure, using Cu Kα X-rays.

Most intense lines, 15° ≤ 2θ ≤ 90°, by angle:
2.995 Å, 29.8°, rel. 709; 2.574 Å, 34.9°, rel. 709; 2.433 Å, 36.9°, rel. 485; 2.292 Å, 39.3°, rel. 1000; 2.029 Å, 44.7°, rel. 493; 1.738 Å, 52.7°, rel. 496

Crystal structure
Unit cell a=12.7028 b=3.4848 c=12.4613 alpha=86.00 beta=15.88 gamma=78.12
Fractional coordinates of all 3 atoms:
Nb  0.0000  0.0000  0.0000
Se  0.5984  0.7348  0.2652
Se  0.7348  0.5984  0.4016

***

Entry 7:
The following is a computed X-ray diffraction stick pattern of HoInRh. It was derived from a PBE-relaxed structure, using Cu Kα X-rays.

Most intense lines, 15° ≤ 2θ ≤ 90°, by angle:
2.715 Å, 33.0°, rel. 1000; 2.506 Å, 35.8°, rel. 820; 2.460 Å, 36.5°, rel. 446; 2.170 Å, 41.6°, rel. 346; 1.964 Å, 46.2°, rel. 235; 1.396 Å, 67.1°, rel. 286

Crystal structure
Unit cell a=7.5157 b=7.5157 c=3.9280 alpha=90.00 beta=90.00 gamma=120.00
Fractional coordinates of all 9 atoms:
Ho  0.0000  0.4060  0.0000
Ho  0.4060  0.0000  0.0000
Ho  0.5940  0.5940  0.0000
In  0.0000  0.7424  0.5000
In  0.2576  0.2576  0.5000
In  0.7424  0.0000  0.5000
Rh  0.0000  0.0000  0.0000
Rh  0.3333  0.6667  0.5000
Rh  0.6667  0.3333  0.5000

***

Entry 8:
The following is a computed X-ray diffraction stick pattern of CeMg2. It was derived from a PBE-relaxed structure, using Cu Kα X-rays.

Most intense lines, 15° ≤ 2θ ≤ 90°, by angle:
5.695 Å, 15.6°, rel. 572; 2.848 Å, 31.4°, rel. 287; 2.721 Å, 32.9°, rel. 416; 2.455 Å, 36.6°, rel. 1000; 1.967 Å, 46.1°, rel. 309; 1.557 Å, 59.4°, rel. 214

Crystal structure
Unit cell a=3.1423 b=3.1423 c=17.0852 alpha=90.00 beta=90.00 gamma=120.00
Fractional coordinates of all 6 atoms:
Ce  0.0000  0.0000  0.1729
Ce  0.0000  0.0000  0.8271
Mg  0.0000  0.0000  0.5000
Mg  0.6667  0.3333  0.0000
Mg  0.6667  0.3333  0.3439
Mg  0.6667  0.3333  0.6561

***

Entry 9:
The following is a computed X-ray diffraction stick pattern of Ge3Rh5. It was derived from a PBE-relaxed structure, using Cu Kα X-rays.

Most intense lines, 15° ≤ 2θ ≤ 90°, by angle:
2.222 Å, 40.6°, rel. 928; 2.200 Å, 41.0°, rel. 1000; 2.162 Å, 41.8°, rel. 316; 2.086 Å, 43.4°, rel. 327; 2.021 Å, 44.9°, rel. 544; 1.476 Å, 63.0°, rel. 246

Crystal structure
Unit cell a=5.4992 b=10.4937 c=4.0413 alpha=90.00 beta=90.00 gamma=90.00
Fractional coordinates of all 16 atoms:
Ge  0.0000  0.0000  0.0000
Ge  0.1080  0.3486  0.5000
Ge  0.3920  0.8486  0.5000
Ge  0.5000  0.5000  0.0000
Ge  0.6080  0.1514  0.5000
Ge  0.8920  0.6514  0.5000
Rh  0.0000  0.5000  0.0000
Rh  0.1502  0.7822  0.0000
Rh  0.1712  0.1067  0.5000
Rh  0.3288  0.6067  0.5000
Rh  0.3498  0.2822  0.0000
Rh  0.5000  0.0000  0.0000
Rh  0.6502  0.7178  0.0000
Rh  0.6712  0.3933  0.5000
Rh  0.8288  0.8933  0.5000
Rh  0.8498  0.2178  0.0000

***

Entry 10:
The following is a computed X-ray diffraction stick pattern of MgSiRh2. It was derived from a PBE-relaxed structure, using Cu Kα X-rays.

Most intense lines, 15° ≤ 2θ ≤ 90°, by angle:
3.009 Å, 29.7°, rel. 470; 2.128 Å, 42.5°, rel. 1000; 1.737 Å, 52.7°, rel. 125; 1.505 Å, 61.6°, rel. 162; 1.346 Å, 69.9°, rel. 157; 1.229 Å, 77.7°, rel. 325

Crystal structure
Unit cell a=4.2557 b=4.2557 c=4.2557 alpha=60.00 beta=60.00 gamma=60.00
Fractional coordinates of all 4 atoms:
Mg  0.0000  0.0000  0.0000
Si  0.5000  0.5000  0.5000
Rh  0.2500  0.2500  0.2500
Rh  0.7500  0.7500  0.7500

***

Entry 11:
The following is a computed X-ray diffraction stick pattern of Li2NdTl. It was derived from a PBE-relaxed structure, using Cu Kα X-rays.

Most intense lines, 15° ≤ 2θ ≤ 90°, by angle:
3.506 Å, 25.4°, rel. 1000; 2.479 Å, 36.2°, rel. 902; 2.024 Å, 44.8°, rel. 297; 1.568 Å, 58.9°, rel. 398; 1.431 Å, 65.2°, rel. 331; 1.169 Å, 82.6°, rel. 194

Crystal structure
Unit cell a=4.9579 b=4.9579 c=4.9579 alpha=60.00 beta=60.00 gamma=60.00
Fractional coordinates of all 4 atoms:
Li  0.2500  0.2500  0.2500
Li  0.7500  0.7500  0.7500
Nd  0.0000  0.0000  0.0000
Tl  0.5000  0.5000  0.5000

***

Entry 12:
The following is a computed X-ray diffraction stick pattern of La4PtO7. It was derived from a PBE-relaxed structure, using Cu Kα X-rays.

Most intense lines, 15° ≤ 2θ ≤ 90°, by angle:
3.073 Å, 29.1°, rel. 389; 3.053 Å, 29.3°, rel. 571; 2.991 Å, 29.9°, rel. 1000; 2.925 Å, 30.6°, rel. 668; 2.024 Å, 44.8°, rel. 244; 1.687 Å, 54.4°, rel. 269

Crystal structure
Unit cell a=4.0481 b=7.0304 c=7.2604 alpha=83.64 beta=73.89 gamma=73.37
Fractional coordinates of all 12 atoms:
La  0.0000  0.0000  0.0000
La  0.1574  0.4365  0.2370
La  0.6593  0.1153  0.5557
La  0.8263  0.5596  0.7856
Pt  0.3983  0.7736  0.3963
O  0.0383  0.2086  0.7025
O  0.2039  0.6310  0.9548
O  0.2950  0.0622  0.2868
O  0.4878  0.4838  0.5044
O  0.6125  0.9284  0.8402
O  0.7760  0.3426  0.0895
O  0.8860  0.7512  0.4421